# 1
Theoretical X-ray diffraction stick pattern
Compound: PrHo4Pb4
Radiation: Cu Kα (λ = 1.5418 Å)
Structure: a DFT-relaxed cell (GGA-PBE, Alexandria)
Lines closer than 0.1° are merged.

Structure:
Cell lengths 10.061, 10.061, 6.183 Å; angles 90.00, 90.00, 90.00 degrees
Space group P4_2/n (No. 86, origin choice 2)
Inequivalent atoms, fractional coordinates:
Pr (0.250, 0.250, 0.250) x2
Ho (0.095, 0.648, 0.160) x8
Pb (0.039, 0.616, 0.669) x8

Principal peaks in the range 10 to 80 degrees two-theta, sorted by position:
(1 1 0), d = 7.114 Å, intensity 27; (1 0 1), d = 5.268 Å, intensity 18; (1 3 0), d = 3.182 Å, intensity 100; (0 0 2), d = 3.091 Å, intensity 19; (1 0 2), d = 2.955 Å, intensity 45; (2 3 1), d = 2.545 Å, intensity 49; (3 0 2), d = 2.272 Å, intensity 55; (4 2 0), d = 2.250 Å, intensity 28; (1 3 2), d = 2.217 Å, intensity 24; (3 2 2), d = 2.071 Å, intensity 23; (3 6 1), d = 1.458 Å, intensity 23; (7 0 1), d = 1.400 Å, intensity 16

***

# 2
Theoretical X-ray diffraction stick pattern
Compound: HoPuPb6
Radiation: Cu Kα (λ = 1.5418 Å)
Structure: a DFT-relaxed cell (GGA-PBE, Alexandria)
Lines closer than 0.1° are merged.

Structure:
Cell lengths 4.884, 4.884, 9.658 Å; angles 90.00, 90.00, 90.00 degrees
Space group P4/mmm (No. 123)
Inequivalent atoms, fractional coordinates:
Ho (0.000, 0.000, 0.000) x1
Pu (0.000, 0.000, 0.500) x1
Pb (0.000, 0.500, 0.249) x4
Pb (0.500, 0.500, 0.000) x1
Pb (0.500, 0.500, 0.500) x1

Principal peaks in the range 10 to 80 degrees two-theta, sorted by position:
(1 0 1), d = 4.358 Å, intensity 1; (1 1 2), d = 2.809 Å, intensity 100; (2 0 0), d = 2.442 Å, intensity 34; (0 0 4), d = 2.415 Å, intensity 17; (2 2 0), d = 1.727 Å, intensity 12; (2 0 4), d = 1.717 Å, intensity 24; (3 1 2), d = 1.471 Å, intensity 29; (1 1 6), d = 1.459 Å, intensity 14; (2 2 4), d = 1.404 Å, intensity 13; (4 0 0), d = 1.221 Å, intensity 4; (0 0 8), d = 1.207 Å, intensity 2